Simulated powder XRD pattern of CrHO2 for Cu Kα, from a crystal structure in Alexandria, relaxed with GGA+U.
No peak broadening, texture or thermal motion is included.

Principal peaks in the range 15 to 90 degrees two-theta, in order of rising 2θ:
- (0 1 1), 27.23°, d 3.275, rel. 100
- (1 0 1), 34.62°, d 2.591, rel. 20
- (1 1 0), 35.98°, d 2.496, rel. 61
- (0 0 2), 36.31°, d 2.474, rel. 20
- (1 1 2), 52.05°, d 1.757, rel. 33
- (1 2 1), 54.98°, d 1.670, rel. 47

Crystal structure
```
CrHO2
1.0
3.0408 0.0000 0.0000
0.0000 4.3696 0.0000
0.0000 0.0000 4.9485
Cr H O
2 2 4
Cartesian
0.0000 1.0338 0.0000 Cr
1.5204 3.3358 2.4743 Cr
0.0000 1.2711 2.3935 H
1.5204 3.0986 4.8678 H
0.0000 0.0629 3.1870 O
0.0000 2.1300 1.7669 O
1.5204 2.2396 4.2412 O
1.5204 4.3067 0.7128 O
```